[1]
Structure and theoretical XRD peak list of TiPO4 (a structure optimized by DFT (PBE); Cu Kα).

Cell: 9.975 6.011 4.979 Å, 90.00 90.00 90.00°
Fractional coordinates of all 24 atoms:
Ti  0.231  0.250  0.027
Ti  0.269  0.750  0.527
Ti  0.731  0.250  0.473
Ti  0.769  0.750  0.973
P  0.098  0.750  0.093
P  0.402  0.250  0.593
P  0.598  0.750  0.407
P  0.902  0.250  0.907
O  0.053  0.250  0.853
O  0.125  0.750  0.790
O  0.169  0.549  0.237
O  0.169  0.951  0.237
O  0.331  0.049  0.737
O  0.331  0.451  0.737
O  0.375  0.250  0.290
O  0.447  0.750  0.353
O  0.553  0.250  0.647
O  0.625  0.750  0.710
O  0.669  0.549  0.263
O  0.669  0.951  0.263
O  0.831  0.049  0.763
O  0.831  0.451  0.763
O  0.875  0.250  0.210
O  0.947  0.750  0.147

Most intense lines, 2θ = 5–70°, by angle:
Position (°2θ), I (rel.), h k l
17.78, 60, 2 0 0
19.93, 100, 1 0 1
23.18, 57, 2 1 0
24.88, 62, 1 1 1
29.72, 72, 0 2 0
35.74, 94, 3 1 1
36.05, 34, 1 2 1
40.24, 16, 1 1 2
47.42, 22, 0 2 2
51.03, 26, 2 2 2
51.65, 18, 5 1 1
56.74, 22, 3 3 1

[2]
Structure and theoretical XRD peak list of Ti2P2O11 (a structure optimized by DFT (PBE); Cu Kα).

Cell: 5.276 9.165 9.835 Å, 76.05 87.68 85.87°
Fractional coordinates of all 30 atoms:
Ti  0.071  0.399  0.283
Ti  0.266  0.769  0.173
Ti  0.734  0.231  0.827
Ti  0.929  0.601  0.717
P  0.224  0.165  0.064
P  0.231  0.314  0.617
P  0.769  0.686  0.383
P  0.776  0.835  0.936
O  0.020  0.217  0.696
O  0.023  0.808  0.018
O  0.179  0.482  0.624
O  0.201  0.766  0.666
O  0.206  0.259  0.176
O  0.225  0.567  0.836
O  0.235  0.309  0.461
O  0.242  0.566  0.202
O  0.267  0.999  0.138
O  0.451  0.217  0.966
O  0.490  0.250  0.679
O  0.510  0.750  0.321
O  0.549  0.783  0.034
O  0.733  0.001  0.862
O  0.758  0.434  0.798
O  0.765  0.691  0.539
O  0.775  0.433  0.164
O  0.794  0.741  0.824
O  0.799  0.234  0.334
O  0.821  0.518  0.376
O  0.977  0.192  0.982
O  0.980  0.783  0.304

Most intense lines, 2θ = 5–70°, by angle:
Position (°2θ), I (rel.), h k l
9.27, 27, 0 0 1
9.96, 55, 0 1 0
11.88, 100, 0 1 1
16.85, 28, 1 0 0
18.60, 20, 0 0 2
19.06, 45, 1 1 0
20.00, 60, 0 2 0
22.43, 30, 1 1 -1
24.89, 64, 1 0 2
26.15, 25, -1 1 2
28.89, 34, 1 2 -1
29.39, 37, 0 3 1